Entry 1:
The following is a computed X-ray powder pattern of Nb3GeS6. It was derived from the GGA-PBE geometry in OQMD, using Cu Kα, 1.54184 Å.
Lines closer than 0.1° are merged.

Structure:
a = 5.810 Å, b = 5.810 Å, c = 13.614 Å
α = 90.00°, β = 90.00°, γ = 120.00°
Sites, in units of the cell vectors:
Nb 0.000 0.000 0.250
Nb 0.000 0.000 0.750
Nb 0.333 0.667 0.250
Nb 0.333 0.667 0.750
Nb 0.667 0.333 0.250
Nb 0.667 0.333 0.750
Ge 0.000 0.000 0.000
Ge 0.000 0.000 0.500
S 0.000 0.334 0.134
S 0.000 0.334 0.366
S 0.000 0.666 0.634
S 0.000 0.666 0.866
S 0.334 0.000 0.134
S 0.334 0.000 0.366
S 0.334 0.334 0.634
S 0.334 0.334 0.866
S 0.666 0.000 0.634
S 0.666 0.000 0.866
S 0.666 0.666 0.134
S 0.666 0.666 0.366

Peak list (8 most intense, 2θ from 10° to 80°, by angle)
13.01°, rel. 80, hkl 0 0 2; 30.78°, rel. 36, hkl 1 1 0; 31.49°, rel. 17, hkl 1 1 1; 33.54°, rel. 33, hkl 1 1 2; 40.84°, rel. 100, hkl 1 1 4; 51.08°, rel. 15, hkl 1 1 6; 54.73°, rel. 30, hkl 3 0 0; 70.49°, rel. 19, hkl 2 2 4

---

Entry 2:
The following is a computed X-ray powder pattern of TaNbGe2S4. It was derived from the GGA-PBE geometry in OQMD, using Cu Kα, 1.54184 Å.
Lines closer than 0.1° are merged.

Structure:
a = 3.281 Å, b = 3.281 Å, c = 16.919 Å
α = 90.00°, β = 90.00°, γ = 120.00°
Sites, in units of the cell vectors:
Ta 0.000 0.000 0.000
Nb 0.667 0.333 0.500
Ge 0.333 0.667 0.252
Ge 0.333 0.667 0.748
S 0.333 0.667 0.093
S 0.333 0.667 0.406
S 0.333 0.667 0.594
S 0.333 0.667 0.907

Peak list (8 most intense, 2θ from 10° to 80°, by angle)
10.46°, rel. 100, hkl 0 0 2; 21.00°, rel. 69, hkl 0 0 4; 31.94°, rel. 80, hkl 1 0 1; 33.26°, rel. 76, hkl 1 0 2; 35.37°, rel. 61, hkl 1 0 3; 41.50°, rel. 40, hkl 1 0 5; 45.31°, rel. 88, hkl 1 0 6; 56.06°, rel. 41, hkl 1 1 0

---

Entry 3:
The following is a computed X-ray powder pattern of YNb2Ge2Sb. It was derived from the GGA-PBE geometry in OQMD, using Cu Kα, 1.54184 Å.
Lines closer than 0.1° are merged.

Structure:
a = 4.063 Å, b = 4.063 Å, c = 7.878 Å
α = 90.00°, β = 90.00°, γ = 90.00°
Sites, in units of the cell vectors:
Y 0.000 0.000 0.000
Nb 0.000 0.500 0.359
Nb 0.500 0.000 0.359
Ge 0.000 0.000 0.615
Ge 0.500 0.500 0.119
Sb 0.500 0.500 0.653

Peak list (8 most intense, 2θ from 10° to 80°, by angle)
11.23°, rel. 31, hkl 0 0 1; 31.64°, rel. 26, hkl 1 0 2; 33.19°, rel. 58, hkl 1 1 1; 34.15°, rel. 24, hkl 0 0 3; 38.79°, rel. 100, hkl 1 1 2; 44.60°, rel. 48, hkl 2 0 0; 57.34°, rel. 21, hkl 2 0 3; 78.26°, rel. 25, hkl 3 1 2

---

Entry 4:
The following is a computed X-ray powder pattern of ZrNbGe2Sb2. It was derived from the GGA-PBE geometry in OQMD, using Cu Kα, 1.54184 Å.
Lines closer than 0.1° are merged.

Structure:
a = 3.794 Å, b = 3.794 Å, c = 8.512 Å
α = 90.00°, β = 90.00°, γ = 90.00°
Sites, in units of the cell vectors:
Zr 0.000 0.000 0.000
Nb 0.500 0.500 0.495
Ge 0.000 0.500 0.254
Ge 0.500 0.000 0.254
Sb 0.000 0.000 0.631
Sb 0.500 0.500 0.854

Peak list (8 most intense, 2θ from 10° to 80°, by angle)
31.58°, rel. 59, hkl 0 0 3; 33.40°, rel. 26, hkl 1 1 0; 35.07°, rel. 63, hkl 1 1 1; 39.68°, rel. 100, hkl 1 0 3; 47.96°, rel. 39, hkl 2 0 0; 58.56°, rel. 24, hkl 2 0 3; 63.93°, rel. 30, hkl 2 1 3; 70.17°, rel. 12, hkl 2 2 0

---

Entry 5:
The following is a computed X-ray powder pattern of Sc2Nb3Ge4. It was derived from the GGA-PBE geometry in OQMD, using Cu Kα, 1.54184 Å.
Lines closer than 0.1° are merged.

Structure:
a = 6.862 Å, b = 13.324 Å, c = 7.033 Å
α = 90.00°, β = 90.00°, γ = 90.00°
Sites, in units of the cell vectors:
Sc 0.009 0.094 0.176
Sc 0.009 0.406 0.176
Sc 0.491 0.594 0.676
Sc 0.491 0.906 0.676
Sc 0.509 0.094 0.324
Sc 0.509 0.406 0.324
Sc 0.991 0.594 0.824
Sc 0.991 0.906 0.824
Nb 0.155 0.626 0.329
Nb 0.155 0.874 0.329
Nb 0.169 0.250 0.510
Nb 0.331 0.750 0.010
Nb 0.345 0.126 0.829
Nb 0.345 0.374 0.829
Nb 0.655 0.626 0.171
Nb 0.655 0.874 0.171
Nb 0.669 0.250 0.990
Nb 0.831 0.750 0.490
Nb 0.845 0.126 0.671
Nb 0.845 0.374 0.671
Ge 0.045 0.250 0.888
Ge 0.183 0.040 0.534
Ge 0.183 0.460 0.534
Ge 0.189 0.750 0.648
Ge 0.311 0.250 0.148
Ge 0.317 0.540 0.034
Ge 0.317 0.960 0.034
Ge 0.455 0.750 0.388
Ge 0.545 0.250 0.612
Ge 0.683 0.040 0.966
Ge 0.683 0.460 0.966
Ge 0.689 0.750 0.852
Ge 0.811 0.250 0.352
Ge 0.817 0.540 0.466
Ge 0.817 0.960 0.466
Ge 0.955 0.750 0.112

Peak list (8 most intense, 2θ from 10° to 80°, by angle)
35.08°, rel. 83, hkl 1 3 2; 35.44°, rel. 65, hkl 2 3 1; 37.20°, rel. 100, hkl 0 4 2; 38.43°, rel. 47, hkl 1 5 1; 39.51°, rel. 48, hkl 1 4 2; 39.84°, rel. 61, hkl 2 4 1; 41.26°, rel. 81, hkl 1 1 3; 41.51°, rel. 86, hkl 3 0 1

---

Entry 6:
The following is a computed X-ray powder pattern of NbSiGe. It was derived from the GGA-PBE geometry in OQMD, using Cu Kα, 1.54184 Å.
Lines closer than 0.1° are merged.

Structure:
a = 6.164 Å, b = 6.164 Å, c = 6.164 Å
α = 90.00°, β = 90.00°, γ = 90.00°
Sites, in units of the cell vectors:
Nb 0.000 0.000 0.000
Nb 0.000 0.500 0.500
Nb 0.500 0.000 0.500
Nb 0.500 0.500 0.000
Si 0.250 0.250 0.250
Si 0.250 0.750 0.750
Si 0.750 0.250 0.750
Si 0.750 0.750 0.250
Ge 0.250 0.250 0.750
Ge 0.250 0.750 0.250
Ge 0.750 0.250 0.250
Ge 0.750 0.750 0.750

Peak list (6 most intense, 2θ from 10° to 80°, by angle)
25.02°, rel. 74, hkl 1 1 1; 41.44°, rel. 100, hkl 2 2 0; 49.02°, rel. 35, hkl 3 1 1; 60.04°, rel. 16, hkl 4 0 0; 66.08°, rel. 14, hkl 3 3 1; 75.58°, rel. 33, hkl 4 2 2

---

Entry 7:
The following is a computed X-ray powder pattern of SmYNb2Ge2. It was derived from the GGA-PBE geometry in OQMD, using Cu Kα, 1.54184 Å.
Lines closer than 0.1° are merged.

Structure:
a = 4.046 Å, b = 4.046 Å, c = 8.013 Å
α = 90.00°, β = 90.00°, γ = 90.00°
Sites, in units of the cell vectors:
Sm 0.000 0.000 0.000
Y 0.500 0.500 0.296
Nb 0.000 0.500 0.644
Nb 0.500 0.000 0.644
Ge 0.000 0.000 0.404
Ge 0.500 0.500 0.883

Peak list (8 most intense, 2θ from 10° to 80°, by angle)
31.42°, rel. 66, hkl 1 0 2; 33.25°, rel. 98, hkl 1 1 1; 33.55°, rel. 33, hkl 0 0 3; 38.67°, rel. 100, hkl 1 1 2; 40.47°, rel. 30, hkl 1 0 3; 44.80°, rel. 66, hkl 2 0 0; 55.74°, rel. 25, hkl 2 1 2; 57.11°, rel. 28, hkl 2 0 3

---

Entry 8:
The following is a computed X-ray powder pattern of Y2TaNbGe2. It was derived from the GGA-PBE geometry in OQMD, using Cu Kα, 1.54184 Å.
Lines closer than 0.1° are merged.

Structure:
a = 4.030 Å, b = 4.030 Å, c = 7.864 Å
α = 90.00°, β = 90.00°, γ = 90.00°
Sites, in units of the cell vectors:
Y 0.000 0.500 0.148
Y 0.500 0.000 0.852
Ta 0.500 0.500 0.500
Nb 0.000 0.000 0.500
Ge 0.000 0.500 0.745
Ge 0.500 0.000 0.255

Peak list (8 most intense, 2θ from 10° to 80°, by angle)
11.25°, rel. 62, hkl 0 0 1; 31.79°, rel. 31, hkl 1 0 2; 33.44°, rel. 95, hkl 1 1 1; 34.21°, rel. 29, hkl 0 0 3; 39.03°, rel. 100, hkl 1 1 2; 44.98°, rel. 54, hkl 2 0 0; 57.70°, rel. 26, hkl 2 0 3; 78.97°, rel. 25, hkl 3 1 2